No. 1
Computed powder diffraction line list of RbLiPd4 for copper Kα, from a GGA-PBE-relaxed structure.
Peak positions follow from Bragg's law for the DFT cell and can differ from measured ones.

Structural model:
a b c (Å): 5.4998 5.4998 5.4998
angles (deg): 60.00 60.00 60.00
Fractional coordinates of all 6 atoms:
1 Rb 0.0000 0.0000 0.0000
2 Li 0.7500 0.7500 0.7500
3 Pd 0.3757 0.3757 0.3757
4 Pd 0.3757 0.3757 0.8729
5 Pd 0.3757 0.8729 0.3757
6 Pd 0.8729 0.3757 0.3757

Top 6 peaks for 2θ from 5° to 70°, in order of rising 2θ:
19.77°, intensity 59
38.38°, intensity 100
40.16°, intensity 69
46.71°, intensity 20
62.00°, intensity 32
68.21°, intensity 30

No. 2
Computed powder diffraction line list of LaSi2P for copper Kα, from a GGA-PBE-relaxed structure.
Peak positions follow from Bragg's law for the DFT cell and can differ from measured ones.

Structural model:
a b c (Å): 4.8885 4.8885 5.0908
angles (deg): 106.53 106.53 43.99
Fractional coordinates of all 4 atoms:
1 La 0.0000 0.0000 0.0000
2 Si 0.2218 0.2218 0.6343
3 Si 0.7782 0.7782 0.3657
4 P 0.5000 0.5000 0.5000

Top 6 peaks for 2θ from 5° to 70°, in order of rising 2θ:
20.59°, intensity 55
23.02°, intensity 53
26.44°, intensity 63
30.44°, intensity 46
34.18°, intensity 100
39.70°, intensity 79

No. 3
Computed powder diffraction line list of ZnHg4Mo for copper Kα, from a GGA-PBE-relaxed structure.
Peak positions follow from Bragg's law for the DFT cell and can differ from measured ones.

Structural model:
a b c (Å): 5.8164 5.8164 5.8164
angles (deg): 60.00 60.00 60.00
Fractional coordinates of all 6 atoms:
1 Zn 0.0000 0.0000 0.0000
2 Hg 0.1256 0.6248 0.6248
3 Hg 0.6248 0.1256 0.6248
4 Hg 0.6248 0.6248 0.1256
5 Hg 0.6248 0.6248 0.6248
6 Mo 0.2500 0.2500 0.2500

Top 6 peaks for 2θ from 5° to 70°, in order of rising 2θ:
18.68°, intensity 48
36.22°, intensity 100
37.89°, intensity 70
44.03°, intensity 22
58.29°, intensity 34
64.03°, intensity 33